This entry pairs a crystal structure of Ag5Cl5F2 with its simulated powder XRD pattern. Radiation: a wavelength of 1.5418 Å. Structure: a DFT-relaxed cell (PBE, Alexandria).

Structure:
```
data_Ag5Cl5F2
_chemical_formula_sum 'Ag5 Cl5 F2'
_cell_length_a 3.682
_cell_length_b 6.828
_cell_length_c 11.301
_cell_angle_alpha 89.55
_cell_angle_beta 89.97
_cell_angle_gamma 74.39
_space_group_name_H-M_alt 'P -1'
_space_group_IT_number 2
loop_
_space_group_symop_operation_xyz
'x,y,z'
'-x,-y,-z'
loop_
_atom_site_label
_atom_site_fract_x
_atom_site_fract_y
_atom_site_fract_z
Ag1 0.000 0.000 0.000
Ag2 0.108 0.783 0.617
Ag3 0.371 0.258 0.742
Cl1 0.260 0.481 0.328
Cl2 0.371 0.259 0.991
Cl3 0.500 0.000 0.500
F1 0.024 0.953 0.238
```

The 12 most intense peaks (2θ = 10–90°), in order of rising 2θ:
hkl, d/Å, 2θ (°), intensity
0 1 0, 6.576, 13.46, 250
0 1 2, 4.303, 20.64, 635
0 0 3, 3.767, 23.62, 478
1 0 -1, 3.384, 26.34, 355
0 1 3, 3.282, 27.17, 471
0 1 -3, 3.258, 27.38, 381
1 1 2, 3.006, 29.72, 247
1 2 -1, 2.733, 32.77, 1000
1 -1 2, 2.518, 35.66, 287
-1 2 1, 2.106, 42.96, 551
1 2 -4, 1.991, 45.57, 259
2 1 0, 1.841, 49.51, 245